1.
Nd4Ru2Pb: simulated powder X-ray diffraction pattern (a wavelength of 1.5418 Å), based on DFT lattice parameters and positions (GGA-PBE).
No peak broadening, texture or thermal motion is included.

Principal peaks in the range 10 to 90 degrees two-theta, low angle first:
d (Å)  Rel. int.
3.038  371
2.942  398
2.924  462
2.810  323
2.790  570
2.782  529
2.731  481
2.693  447
2.658  815
2.615  1000

Crystal structure
```
Nd4Ru2Pb
1.0
7.254 0.000 0.000
-1.521 7.152 0.000
-2.130 -2.931 7.276
Nd Ru Pb
8 4 2
Cartesian
0.000 0.000 0.000 Nd
-1.107 3.673 1.412 Nd
-0.374 0.174 6.040 Nd
1.537 -0.500 3.139 Nd
0.756 3.216 4.855 Nd
3.867 0.654 0.685 Nd
5.241 -1.300 3.267 Nd
4.392 2.267 4.439 Nd
-0.712 1.209 2.920 Ru
-1.516 4.723 5.159 Ru
1.043 5.506 0.456 Ru
1.827 1.889 7.081 Ru
2.268 3.255 1.935 Pb
3.261 -0.422 5.826 Pb
```

---

2.
Nd2Si2PbS8: simulated powder X-ray diffraction pattern (a wavelength of 1.5418 Å), based on DFT lattice parameters and positions (GGA-PBE).
No peak broadening, texture or thermal motion is included.

Principal peaks in the range 10 to 90 degrees two-theta, low angle first:
d (Å)  Rel. int.
4.470  261
4.064  1000
3.988  493
2.626  370
2.589  189
2.511  269
2.496  234
2.460  246
2.277  203
2.215  237

Crystal structure
```
Nd2Si2PbS8
1.0
7.768 -4.570 0.000
7.768 4.570 0.000
-4.954 0.000 8.939
Nd Si Pb S
4 4 2 16
Cartesian
5.291 4.036 4.470 Nd
10.157 0.891 0.042 Nd
7.680 -0.891 4.512 Nd
7.768 -4.036 0.000 Nd
2.746 2.435 6.556 Si
7.771 2.178 2.460 Si
5.222 -2.435 2.086 Si
5.294 -2.178 6.930 Si
5.150 0.749 0.113 Pb
2.674 -0.749 4.582 Pb
-0.876 1.215 6.125 S
2.733 2.431 4.420 S
5.967 3.003 1.690 S
4.637 3.192 7.244 S
1.601 -1.215 1.656 S
2.555 0.504 7.439 S
7.655 2.197 4.593 S
5.032 -0.504 2.970 S
8.103 0.162 1.855 S
0.256 -2.431 8.890 S
5.627 -0.162 6.325 S
11.405 0.860 2.691 S
3.491 -3.003 6.159 S
10.132 -2.197 0.124 S
7.114 -3.192 2.775 S
8.928 -0.860 7.161 S
```

---

3.
Nd4Sb2Pb: simulated powder X-ray diffraction pattern (a wavelength of 1.5418 Å), based on DFT lattice parameters and positions (GGA-PBE).
No peak broadening, texture or thermal motion is included.

Principal peaks in the range 10 to 90 degrees two-theta, low angle first:
d (Å)  Rel. int.
5.012  404
3.544  419
3.164  447
3.117  1000
2.675  812
2.664  378
2.506  449
2.130  327
2.021  232
1.710  241

Crystal structure
```
Nd4Sb2Pb
1.0
-5.012 5.012 4.920
5.012 -5.012 4.920
5.012 5.012 -4.920
Nd Sb Pb
8 4 2
Cartesian
3.142 2.506 -0.556 Nd
6.881 2.506 -0.556 Nd
0.000 0.636 1.903 Nd
5.012 0.636 3.016 Nd
0.000 4.376 1.903 Nd
5.012 4.376 3.016 Nd
-1.870 2.506 5.476 Nd
1.870 2.506 5.476 Nd
5.012 0.000 0.000 Sb
-2.506 2.506 2.460 Sb
0.000 0.000 4.920 Sb
2.506 2.506 2.460 Sb
5.012 -2.506 3.690 Pb
0.000 7.517 1.230 Pb
```

---

4.
Nd8Sb5Pb: simulated powder X-ray diffraction pattern (a wavelength of 1.5418 Å), based on DFT lattice parameters and positions (GGA-PBE).
No peak broadening, texture or thermal motion is included.

Principal peaks in the range 10 to 90 degrees two-theta, low angle first:
d (Å)  Rel. int.
3.019  1000
2.551  655
2.135  123
1.949  158
1.872  226
1.549  263
1.509  118
1.473  142
1.299  164
1.110  106

Crystal structure
```
Nd8Sb5Pb
1.0
-4.773 4.773 4.773
4.773 -4.773 4.773
4.773 4.773 -4.773
Nd Sb Pb
8 5 1
Cartesian
6.494 0.684 0.539 Nd
4.110 3.098 -1.863 Nd
0.684 3.053 -0.539 Nd
0.663 1.676 2.911 Nd
4.089 1.720 4.234 Nd
1.676 -0.663 6.636 Nd
3.098 5.436 1.863 Nd
-1.720 4.089 5.312 Nd
0.000 0.000 0.000 Sb
2.400 -1.201 3.592 Sb
3.572 2.373 1.181 Sb
2.373 5.975 -1.181 Sb
1.201 2.400 5.954 Sb
0.000 4.773 2.387 Pb
```

---

5.
Nd4Sb2PbSe: simulated powder X-ray diffraction pattern (a wavelength of 1.5418 Å), based on DFT lattice parameters and positions (GGA-PBE).
No peak broadening, texture or thermal motion is included.

Principal peaks in the range 10 to 90 degrees two-theta, low angle first:
d (Å)  Rel. int.
3.163  1000
2.244  129
2.237  512
2.229  127
1.831  138
1.822  137
1.582  129
1.415  237
1.294  110
1.288  87

Crystal structure
```
Nd4Sb2PbSe
1.0
7.753 0.000 0.000
0.000 4.458 0.000
-2.570 0.000 7.328
Nd Sb Pb Se
4 2 1 1
Cartesian
1.279 0.000 1.801 Nd
-0.010 2.229 5.537 Nd
5.194 2.229 1.790 Nd
3.905 0.000 5.526 Nd
3.877 0.000 0.000 Sb
2.592 2.229 3.664 Sb
-1.285 0.000 3.664 Pb
0.000 2.229 0.000 Se
```

---

6.
Nd3ScPb2: simulated powder X-ray diffraction pattern (a wavelength of 1.5418 Å), based on DFT lattice parameters and positions (GGA-PBE).
No peak broadening, texture or thermal motion is included.

Principal peaks in the range 10 to 90 degrees two-theta, low angle first:
d (Å)  Rel. int.
4.088  232
3.274  491
3.065  560
2.905  305
2.617  1000
2.461  340
2.315  591
1.810  308
1.686  221
1.388  283

Crystal structure
```
Nd3ScPb2
1.0
4.630 0.000 0.000
0.000 4.630 0.000
0.000 0.000 8.714
Nd Sc Pb
3 1 2
Cartesian
0.000 0.000 0.000 Nd
0.000 2.315 5.713 Nd
2.315 0.000 3.001 Nd
2.315 2.315 0.000 Sc
0.000 2.315 2.398 Pb
2.315 0.000 6.317 Pb
```